Diffraction record for Li2CrNiP2O8. The powder diffractogram is simulated, not measured: it uses a structure optimized by DFT (PBE+U) and Cu Kα, 1.54184 Å.
Intensities are scaled so that the largest is 100.

Structural model:
Cell: 4.7459 6.0414 10.2351 Å, 90.00 90.47 90.00°
Space group P2_1/m (No. 11)
Symmetry-distinct sites (fractional):
Li 0.0000 0.0000 0.0000 (multiplicity 2)
Li 0.5000 0.0000 0.5000 (multiplicity 2)
Cr 0.0293 0.2500 0.7235 (multiplicity 2)
Ni 0.4824 0.2500 0.2218 (multiplicity 2)
P 0.0841 0.7500 0.5954 (multiplicity 2)
P 0.4183 0.7500 0.0915 (multiplicity 2)
O 0.1978 0.7500 0.4534 (multiplicity 2)
O 0.2271 0.5477 0.6662 (multiplicity 4)
O 0.2395 0.2500 0.3985 (multiplicity 2)
O 0.2574 0.2500 0.9036 (multiplicity 2)
O 0.2842 0.5443 0.1620 (multiplicity 4)
O 0.2963 0.7500 0.9500 (multiplicity 2)

Main lines, by intensity (2θ from 10° to 90°):
d 3.021, I = 100.0, hkl 0 2 0
d 2.510, I = 75.4, hkl 1 1 3
d 2.526, I = 74.2, hkl 1 1 -3
d 3.498, I = 72.4, hkl 1 1 1
d 3.513, I = 61.5, hkl 1 1 -1
d 5.117, I = 50.5, hkl 0 0 2
d 4.319, I = 45.1, hkl 1 0 -1
d 2.473, I = 41.7, hkl 1 2 -1